1.
Starting from a GGA+U-relaxed structure, the X-ray powder pattern of MgTiMnP3O12 was calculated for Cu Kα, 1.54184 Å.
Neutral-atom scattering factors, no anomalous dispersion.

Largest 12 diffraction maxima, sorted by position, 2θ = 10–80°:
2theta	intensity
20.57	41
20.80	22
24.28	100
29.42	17
31.95	16
33.13	40
36.03	23
47.50	20
49.75	16
56.40	19
56.77	10
62.94	11

Atomic structure:
```
data_MgTiMnP3O12
_space_group_name_H-M_alt 'P 1'
_space_group_IT_number 1
_space_group_name_Hall 'P 1'
_cell_length_a 8.543
_cell_length_b 8.543
_cell_length_c 8.543
_cell_angle_alpha 60.72
_cell_angle_beta 60.72
_cell_angle_gamma 60.72
loop_
_atom_site_label
_atom_site_type_symbol
_atom_site_fract_x
_atom_site_fract_y
_atom_site_fract_z
Mg1 Mg 0.000 0.000 0.000
Mg2 Mg 0.500 0.500 0.500
Ti1 Ti 0.354 0.354 0.354
Ti2 Ti 0.854 0.854 0.854
Mn1 Mn 0.141 0.141 0.141
Mn2 Mn 0.641 0.641 0.641
P1 P 0.042 0.453 0.747
P2 P 0.247 0.953 0.542
P3 P 0.453 0.747 0.042
P4 P 0.542 0.247 0.953
P5 P 0.747 0.042 0.453
P6 P 0.953 0.542 0.247
O1 O 0.058 0.257 0.906
O2 O 0.086 0.945 0.740
O3 O 0.117 0.495 0.313
O4 O 0.183 0.989 0.387
O5 O 0.240 0.445 0.586
O6 O 0.257 0.906 0.058
O7 O 0.313 0.117 0.495
O8 O 0.387 0.183 0.989
O9 O 0.406 0.757 0.558
O10 O 0.445 0.586 0.240
O11 O 0.489 0.683 0.887
O12 O 0.495 0.313 0.117
O13 O 0.558 0.406 0.757
O14 O 0.586 0.240 0.445
O15 O 0.617 0.813 0.995
O16 O 0.683 0.887 0.489
O17 O 0.740 0.086 0.945
O18 O 0.757 0.558 0.406
O19 O 0.813 0.995 0.617
O20 O 0.887 0.489 0.683
O21 O 0.906 0.058 0.257
O22 O 0.945 0.740 0.086
O23 O 0.989 0.387 0.183
O24 O 0.995 0.617 0.813
```

=====

2.
Starting from a GGA+U-relaxed structure, the X-ray powder pattern of MgMnPb2WO6 was calculated for Cu Kα, 1.54184 Å.
Neutral-atom scattering factors, no anomalous dispersion.

Largest 12 diffraction maxima, sorted by position, 2θ = 10–80°:
2theta	intensity
17.92	79
29.19	100
29.61	58
29.90	56
33.92	81
34.82	33
42.58	63
45.82	51
46.38	24
52.27	21
64.16	20
79.21	23

Atomic structure:
```
data_MgMnPb2WO6
_space_group_name_H-M_alt 'P 1'
_space_group_IT_number 1
_space_group_name_Hall 'P 1'
_cell_length_a 6.124
_cell_length_b 6.124
_cell_length_c 6.124
_cell_angle_alpha 121.58
_cell_angle_beta 120.96
_cell_angle_gamma 87.82
loop_
_atom_site_label
_atom_site_type_symbol
_atom_site_fract_x
_atom_site_fract_y
_atom_site_fract_z
Mg1 Mg 0.000 0.000 0.000
Mn1 Mn 0.500 0.000 0.500
Pb1 Pb 0.327 0.327 0.000
Pb2 Pb 0.673 0.673 0.000
W1 W 0.000 0.500 0.500
O1 O 0.220 0.720 0.500
O2 O 0.237 0.247 0.484
O3 O 0.237 0.753 0.991
O4 O 0.763 0.247 0.009
O5 O 0.763 0.753 0.516
O6 O 0.780 0.280 0.500
```

=====

3.
Starting from a GGA+U-relaxed structure, the X-ray powder pattern of MgMnPb2WO6 was calculated for Cu Kα, 1.54184 Å.
Neutral-atom scattering factors, no anomalous dispersion.

Largest 12 diffraction maxima, sorted by position, 2θ = 10–80°:
2theta	intensity
19.22	100
28.48	51
28.87	80
29.84	55
29.95	70
32.45	20
38.77	20
41.72	42
45.89	21
49.10	20
50.67	19
51.36	21

Atomic structure:
```
data_MgMnPb2WO6
_space_group_name_H-M_alt 'P 1'
_space_group_IT_number 1
_space_group_name_Hall 'P 1'
_cell_length_a 6.187
_cell_length_b 6.187
_cell_length_c 6.929
_cell_angle_alpha 115.73
_cell_angle_beta 115.73
_cell_angle_gamma 60.88
loop_
_atom_site_label
_atom_site_type_symbol
_atom_site_fract_x
_atom_site_fract_y
_atom_site_fract_z
Mg1 Mg 0.000 0.000 0.000
Mn1 Mn 0.416 0.416 0.259
Pb1 Pb 0.234 0.234 0.747
Pb2 Pb 0.593 0.593 0.952
W1 W 0.818 0.818 0.470
O1 O 0.152 0.653 0.467
O2 O 0.187 0.187 0.019
O3 O 0.219 0.647 0.999
O4 O 0.647 0.219 0.999
O5 O 0.653 0.152 0.467
O6 O 0.653 0.653 0.488
```

=====

4.
Starting from a GGA+U-relaxed structure, the X-ray powder pattern of MgMnPb2WO6 was calculated for Cu Kα, 1.54184 Å.
Neutral-atom scattering factors, no anomalous dispersion.

Largest 12 diffraction maxima, sorted by position, 2θ = 10–80°:
2theta	intensity
17.68	50
17.93	11
29.48	100
31.86	28
32.74	53
44.00	23
44.14	10
45.21	12
52.35	14
53.21	14
54.46	15
54.93	14

Atomic structure:
```
data_MgMnPb2WO6
_space_group_name_H-M_alt 'P 1'
_space_group_IT_number 1
_space_group_name_Hall 'P 1'
_cell_length_a 6.069
_cell_length_b 6.069
_cell_length_c 6.336
_cell_angle_alpha 116.87
_cell_angle_beta 116.87
_cell_angle_gamma 59.78
loop_
_atom_site_label
_atom_site_type_symbol
_atom_site_fract_x
_atom_site_fract_y
_atom_site_fract_z
Mg1 Mg 0.000 0.000 0.000
Mn1 Mn 0.800 0.800 0.420
Pb1 Pb 0.223 0.223 0.678
Pb2 Pb 0.591 0.591 0.850
W1 W 0.420 0.420 0.263
O1 O 0.189 0.189 0.022
O2 O 0.198 0.643 0.521
O3 O 0.203 0.639 0.008
O4 O 0.639 0.203 0.008
O5 O 0.643 0.198 0.521
O6 O 0.648 0.648 0.514
```

=====

5.
Starting from a GGA+U-relaxed structure, the X-ray powder pattern of MgMn8S8O24 was calculated for Cu Kα, 1.54184 Å.
Neutral-atom scattering factors, no anomalous dispersion.

Largest 12 diffraction maxima, sorted by position, 2θ = 10–80°:
2theta	intensity
12.48	45
12.71	33
17.47	28
22.43	29
22.51	41
25.14	39
26.35	30
26.57	35
27.49	46
29.42	32
29.58	100
45.78	27

Atomic structure:
```
data_MgMn8S8O24
_space_group_name_H-M_alt 'P 1'
_space_group_IT_number 1
_space_group_name_Hall 'P 1'
_cell_length_a 5.477
_cell_length_b 8.529
_cell_length_c 12.980
_cell_angle_alpha 91.05
_cell_angle_beta 90.27
_cell_angle_gamma 101.44
loop_
_atom_site_label
_atom_site_type_symbol
_atom_site_fract_x
_atom_site_fract_y
_atom_site_fract_z
Mg1 Mg 0.000 0.000 0.000
Mn1 Mn 0.272 0.381 0.917
Mn2 Mn 0.289 0.872 0.575
Mn3 Mn 0.513 0.316 0.253
Mn4 Mn 0.515 0.805 0.260
Mn5 Mn 0.730 0.668 0.753
Mn6 Mn 0.742 0.173 0.746
Mn7 Mn 0.945 0.596 0.088
Mn8 Mn 0.955 0.109 0.432
S1 S 0.105 0.973 0.205
S2 S 0.106 0.477 0.322
S3 S 0.132 0.500 0.687
S4 S 0.167 0.014 0.799
S5 S 0.527 0.744 0.994
S6 S 0.543 0.254 0.513
S7 S 0.685 0.238 0.016
S8 S 0.705 0.731 0.493
O1 O 0.084 0.668 0.663
O2 O 0.127 0.191 0.797
O3 O 0.143 0.799 0.189
O4 O 0.149 0.304 0.335
O5 O 0.280 0.617 0.996
O6 O 0.308 0.118 0.509
O7 O 0.339 0.528 0.772
O8 O 0.355 0.546 0.266
O9 O 0.359 0.047 0.255
O10 O 0.378 0.014 0.716
O11 O 0.514 0.807 0.431
O12 O 0.517 0.331 0.081
O13 O 0.575 0.240 0.905
O14 O 0.586 0.731 0.602
O15 O 0.646 0.735 0.105
O16 O 0.658 0.253 0.403
O17 O 0.696 0.658 0.926
O18 O 0.737 0.179 0.574
O19 O 0.885 0.436 0.748
O20 O 0.898 0.959 0.289
O21 O 0.900 0.463 0.236
O22 O 0.919 0.931 0.747
O23 O 0.936 0.363 0.013
O24 O 0.940 0.866 0.497
```

=====

6.
Starting from a GGA+U-relaxed structure, the X-ray powder pattern of MgMn8S8O24 was calculated for Cu Kα, 1.54184 Å.
Neutral-atom scattering factors, no anomalous dispersion.

Largest 12 diffraction maxima, sorted by position, 2θ = 10–80°:
2theta	intensity
11.88	64
12.33	60
13.64	22
16.61	23
20.08	18
23.46	32
23.89	45
25.76	18
27.34	35
28.38	100
31.40	43
34.07	19

Atomic structure:
```
data_MgMn8S8O24
_space_group_name_H-M_alt 'P 1'
_space_group_IT_number 1
_space_group_name_Hall 'P 1'
_cell_length_a 5.403
_cell_length_b 8.988
_cell_length_c 13.029
_cell_angle_alpha 87.09
_cell_angle_beta 86.12
_cell_angle_gamma 80.05
loop_
_atom_site_label
_atom_site_type_symbol
_atom_site_fract_x
_atom_site_fract_y
_atom_site_fract_z
Mg1 Mg 0.000 0.000 0.000
Mn1 Mn 0.209 0.866 0.760
Mn2 Mn 0.260 0.379 0.457
Mn3 Mn 0.475 0.471 0.137
Mn4 Mn 0.550 0.048 0.126
Mn5 Mn 0.697 0.093 0.616
Mn6 Mn 0.703 0.585 0.618
Mn7 Mn 0.923 0.662 0.956
Mn8 Mn 0.981 0.173 0.287
S1 S 0.071 0.315 0.073
S2 S 0.094 0.252 0.690
S3 S 0.125 0.752 0.542
S4 S 0.161 0.792 0.180
S5 S 0.497 0.528 0.861
S6 S 0.537 0.028 0.389
S7 S 0.584 0.019 0.861
S8 S 0.694 0.514 0.366
O1 O 0.036 0.085 0.696
O2 O 0.043 0.793 0.073
O3 O 0.064 0.589 0.535
O4 O 0.125 0.477 0.049
O5 O 0.203 0.960 0.183
O6 O 0.254 0.654 0.855
O7 O 0.280 0.260 0.152
O8 O 0.287 0.144 0.387
O9 O 0.316 0.250 0.606
O10 O 0.331 0.737 0.624
O11 O 0.351 0.962 0.915
O12 O 0.427 0.703 0.164
O13 O 0.500 0.441 0.311
O14 O 0.538 0.983 0.747
O15 O 0.577 0.506 0.478
O16 O 0.610 0.547 0.966
O17 O 0.676 0.050 0.280
O18 O 0.687 0.588 0.784
O19 O 0.703 0.103 0.455
O20 O 0.832 0.895 0.881
O21 O 0.834 0.333 0.148
O22 O 0.859 0.330 0.634
O23 O 0.887 0.828 0.603
O24 O 0.935 0.389 0.365
```

=====

7.
Starting from a GGA+U-relaxed structure, the X-ray powder pattern of Y2MgMn2S2O5 was calculated for Cu Kα, 1.54184 Å.
Neutral-atom scattering factors, no anomalous dispersion.

Largest 12 diffraction maxima, sorted by position, 2θ = 10–80°:
2theta	intensity
12.61	90
25.11	45
28.20	26
32.31	100
33.06	43
35.52	17
37.16	16
42.56	24
47.46	39
51.61	14
58.58	34
63.12	16

Atomic structure:
```
data_Y2MgMn2S2O5
_space_group_name_H-M_alt 'P 1'
_space_group_IT_number 1
_space_group_name_Hall 'P 1'
_cell_length_a 14.298
_cell_length_b 14.298
_cell_length_c 14.298
_cell_angle_alpha 164.60
_cell_angle_beta 164.60
_cell_angle_gamma 21.85
loop_
_atom_site_label
_atom_site_type_symbol
_atom_site_fract_x
_atom_site_fract_y
_atom_site_fract_z
Y1 Y 0.133 0.133 0.000
Y2 Y 0.867 0.867 0.000
Mg1 Mg 0.250 0.750 0.500
Mn1 Mn 0.435 0.435 0.000
Mn2 Mn 0.565 0.565 0.000
S1 S 0.307 0.307 0.000
S2 S 0.693 0.693 0.000
O1 O 0.093 0.593 0.500
O2 O 0.407 0.907 0.500
O3 O 0.500 0.500 0.000
O4 O 0.591 0.091 0.500
O5 O 0.909 0.409 0.500
```

=====

8.
Starting from a GGA+U-relaxed structure, the X-ray powder pattern of Y2MgMn2S2O5 was calculated for Cu Kα, 1.54184 Å.
Neutral-atom scattering factors, no anomalous dispersion.

Largest 12 diffraction maxima, sorted by position, 2θ = 10–80°:
2theta	intensity
15.74	94
25.38	81
30.03	30
31.90	100
32.90	36
35.95	92
42.73	86
45.68	64
45.79	46
59.50	40
64.38	47
66.67	34

Atomic structure:
```
data_Y2MgMn2S2O5
_space_group_name_H-M_alt 'P 1'
_space_group_IT_number 1
_space_group_name_Hall 'P 1'
_cell_length_a 11.602
_cell_length_b 11.602
_cell_length_c 11.602
_cell_angle_alpha 160.33
_cell_angle_beta 160.29
_cell_angle_gamma 27.98
loop_
_atom_site_label
_atom_site_type_symbol
_atom_site_fract_x
_atom_site_fract_y
_atom_site_fract_z
Y1 Y 0.163 0.163 0.000
Y2 Y 0.837 0.837 0.000
Mg1 Mg 0.500 0.000 0.500
Mn1 Mn 0.408 0.408 0.000
Mn2 Mn 0.592 0.592 0.000
S1 S 0.295 0.295 0.000
S2 S 0.705 0.705 0.000
O1 O 0.105 0.605 0.500
O2 O 0.408 0.908 0.500
O3 O 0.500 0.500 0.000
O4 O 0.592 0.092 0.500
O5 O 0.895 0.395 0.500
```